CdCu3: theoretical XRD peak list (a wavelength of 1.5418 Å), based on the PBE geometry in Alexandria.

Top 10 peaks for 2θ = 15–90°, by intensity:
| d/Å | 2θ (°) | I_rel |
| --- | --- | --- |
| 2.190 | 41.22 | 100 |
| 2.071 | 43.70 | 46 |
| 1.217 | 78.57 | 27 |
| 1.465 | 63.52 | 14 |
| 1.290 | 73.39 | 12 |
| 2.677 | 33.47 | 11 |
| 1.095 | 89.49 | 7 |
| 1.649 | 55.74 | 7 |
| 1.508 | 61.50 | 6 |
| 2.199 | 41.05 | 5 |

Structural model:
```
data_CdCu3
_chemical_formula_sum 'Cd1 Cu3'
_cell_length_a 2.9293
_cell_length_b 2.9293
_cell_length_c 6.5968
_cell_angle_alpha 90.00
_cell_angle_beta 90.00
_cell_angle_gamma 90.00
_symmetry_space_group_name_H-M 'P 4/m m m'
_symmetry_Int_Tables_number 123
_symmetry_space_group_name_Hall '-P 4 2'
loop_
_atom_site_label
_atom_site_fract_x
_atom_site_fract_y
_atom_site_fract_z
_atom_site_occupancy
Cd1 0.0000 0.0000 0.0000 1
Cu1 0.0000 0.0000 0.5000 1
Cu2 0.5000 0.5000 0.2873 1
```



Cd4Cu: theoretical XRD peak list (a wavelength of 1.5418 Å), based on the PBE geometry in Alexandria.

Top 10 peaks for 2θ = 15–90°, by intensity:
| d/Å | 2θ (°) | I_rel |
| --- | --- | --- |
| 2.623 | 34.18 | 100 |
| 2.059 | 43.97 | 64 |
| 2.273 | 39.65 | 39 |
| 1.547 | 59.77 | 27 |
| 2.575 | 34.84 | 26 |
| 3.219 | 27.72 | 20 |
| 1.857 | 49.07 | 18 |
| 1.326 | 71.09 | 18 |
| 1.380 | 67.94 | 17 |
| 2.680 | 33.44 | 14 |

Structural model:
```
data_Cd4Cu
_chemical_formula_sum 'Cd4 Cu1'
_cell_length_a 3.0942
_cell_length_b 3.0942
_cell_length_c 12.8743
_cell_angle_alpha 90.00
_cell_angle_beta 90.00
_cell_angle_gamma 120.00
_symmetry_space_group_name_H-M 'P -3 m 1'
_symmetry_Int_Tables_number 164
_symmetry_space_group_name_Hall '-P 3 2"'
loop_
_atom_site_label
_atom_site_fract_x
_atom_site_fract_y
_atom_site_fract_z
_atom_site_occupancy
Cd1 0.3333 0.6667 0.1039 1
Cd2 0.3333 0.6667 0.3356 1
Cu1 0.0000 0.0000 0.5000 1
```



Cd7Cu5: theoretical XRD peak list (a wavelength of 1.5418 Å), based on the PBE geometry in Alexandria.

Top 10 peaks for 2θ = 15–90°, by intensity:
| d/Å | 2θ (°) | I_rel |
| --- | --- | --- |
| 2.288 | 39.37 | 100 |
| 3.237 | 27.55 | 80 |
| 1.985 | 45.72 | 44 |
| 2.120 | 42.64 | 42 |
| 5.602 | 15.82 | 21 |
| 2.501 | 35.91 | 20 |
| 1.196 | 80.24 | 17 |
| 1.400 | 66.80 | 16 |
| 2.116 | 42.73 | 16 |
| 1.976 | 45.92 | 15 |

Structural model:
```
data_Cd7Cu5
_chemical_formula_sum 'Cd14 Cu10'
_cell_length_a 7.9384
_cell_length_b 7.9384
_cell_length_c 7.9055
_cell_angle_alpha 90.00
_cell_angle_beta 90.00
_cell_angle_gamma 90.00
_symmetry_space_group_name_H-M 'I 4 m m'
_symmetry_Int_Tables_number 107
_symmetry_space_group_name_Hall 'I 4 -2'
loop_
_atom_site_label
_atom_site_fract_x
_atom_site_fract_y
_atom_site_fract_z
_atom_site_occupancy
Cd1 0.0000 0.0000 0.0000 1
Cd2 0.0000 0.2515 0.4110 1
Cd3 0.0000 0.5000 0.1653 1
Cu1 0.0000 0.0000 0.6613 1
Cu2 0.2185 0.2185 0.7015 1
```



Cd3Cu4: theoretical XRD peak list (a wavelength of 1.5418 Å), based on the PBE geometry in Alexandria.

Top 10 peaks for 2θ = 15–90°, by intensity:
| d/Å | 2θ (°) | I_rel |
| --- | --- | --- |
| 3.021 | 29.57 | 100 |
| 2.136 | 42.31 | 34 |
| 1.850 | 49.25 | 33 |
| 2.340 | 38.47 | 27 |
| 1.744 | 52.46 | 26 |
| 1.200 | 79.91 | 21 |
| 1.655 | 55.53 | 18 |
| 1.578 | 58.50 | 17 |
| 1.170 | 82.42 | 14 |
| 2.616 | 34.27 | 13 |

Structural model:
```
data_Cd3Cu4
_chemical_formula_sum 'Cd3 Cu4'
_cell_length_a 5.2328
_cell_length_b 5.2328
_cell_length_c 5.2328
_cell_angle_alpha 90.00
_cell_angle_beta 90.00
_cell_angle_gamma 90.00
_symmetry_space_group_name_H-M 'P -4 3 m'
_symmetry_Int_Tables_number 215
_symmetry_space_group_name_Hall 'P -4 2 3'
loop_
_atom_site_label
_atom_site_fract_x
_atom_site_fract_y
_atom_site_fract_z
_atom_site_occupancy
Cd1 0.0000 0.0000 0.5000 1
Cu1 0.3361 0.3361 0.3361 1
```



Cd4Cu5: theoretical XRD peak list (a wavelength of 1.5418 Å), based on the PBE geometry in Alexandria.

Top 10 peaks for 2θ = 15–90°, by intensity:
| d/Å | 2θ (°) | I_rel |
| --- | --- | --- |
| 2.314 | 38.92 | 100 |
| 1.989 | 45.62 | 29 |
| 1.423 | 65.63 | 19 |
| 2.036 | 44.50 | 18 |
| 1.202 | 79.82 | 17 |
| 1.222 | 78.21 | 12 |
| 2.767 | 32.35 | 8 |
| 1.157 | 83.57 | 8 |
| 1.406 | 66.50 | 8 |
| 2.983 | 29.96 | 8 |

Structural model:
```
data_Cd4Cu5
_chemical_formula_sum 'Cd8 Cu10'
_cell_length_a 8.4366
_cell_length_b 8.4366
_cell_length_c 4.0716
_cell_angle_alpha 90.00
_cell_angle_beta 90.00
_cell_angle_gamma 90.00
_symmetry_space_group_name_H-M 'I 4/m m m'
_symmetry_Int_Tables_number 139
_symmetry_space_group_name_Hall '-I 4 2'
loop_
_atom_site_label
_atom_site_fract_x
_atom_site_fract_y
_atom_site_fract_z
_atom_site_occupancy
Cd1 0.0000 0.3142 0.0000 1
Cu1 0.0000 0.0000 0.0000 1
Cu2 0.1542 0.1542 0.5000 1
```



Cd6Cu: theoretical XRD peak list (a wavelength of 1.5418 Å), based on the PBE geometry in Alexandria.

Top 10 peaks for 2θ = 15–90°, by intensity:
| d/Å | 2θ (°) | I_rel |
| --- | --- | --- |
| 2.281 | 39.51 | 100 |
| 2.365 | 38.05 | 89 |
| 2.473 | 36.32 | 88 |
| 2.894 | 30.90 | 76 |
| 2.871 | 31.15 | 72 |
| 2.251 | 40.05 | 58 |
| 2.445 | 36.76 | 51 |
| 2.552 | 35.17 | 51 |
| 2.169 | 41.64 | 50 |
| 2.304 | 39.09 | 47 |

Structural model:
```
data_Cd6Cu
_chemical_formula_sum 'Cd24 Cu4'
_cell_length_a 8.2068
_cell_length_b 7.0231
_cell_length_c 10.2192
_cell_angle_alpha 90.00
_cell_angle_beta 90.00
_cell_angle_gamma 90.00
_symmetry_space_group_name_H-M 'C m c m'
_symmetry_Int_Tables_number 63
_symmetry_space_group_name_Hall '-C 2c 2'
loop_
_atom_site_label
_atom_site_fract_x
_atom_site_fract_y
_atom_site_fract_z
_atom_site_occupancy
Cd1 0.0000 0.1412 0.1028 1
Cd2 0.1779 0.5000 0.0000 1
Cd3 0.1851 0.2045 0.7500 1
Cu1 0.0000 0.4709 0.2500 1
```



Dy5CdCu2: theoretical XRD peak list (a wavelength of 1.5418 Å), based on the PBE geometry in Alexandria.

Top 10 peaks for 2θ = 15–90°, by intensity:
| d/Å | 2θ (°) | I_rel |
| --- | --- | --- |
| 2.732 | 32.78 | 100 |
| 2.503 | 35.88 | 99 |
| 2.795 | 32.03 | 40 |
| 3.415 | 26.09 | 27 |
| 1.615 | 57.02 | 21 |
| 1.391 | 67.29 | 16 |
| 1.355 | 69.38 | 13 |
| 1.399 | 66.85 | 13 |
| 1.687 | 54.39 | 12 |
| 1.633 | 56.34 | 12 |

Structural model:
```
data_Dy5CdCu2
_chemical_formula_sum 'Dy20 Cd4 Cu8'
_cell_length_a 7.9200
_cell_length_b 7.9200
_cell_length_c 12.8828
_cell_angle_alpha 90.00
_cell_angle_beta 90.00
_cell_angle_gamma 90.00
_symmetry_space_group_name_H-M 'I 4/m c m'
_symmetry_Int_Tables_number 140
_symmetry_space_group_name_Hall '-I 4 2c'
loop_
_atom_site_label
_atom_site_fract_x
_atom_site_fract_y
_atom_site_fract_z
_atom_site_occupancy
Dy1 0.0000 0.0000 0.0000 1
Dy2 0.1567 0.3433 0.1414 1
Cd1 0.0000 0.0000 0.2500 1
Cu1 0.1282 0.3718 0.5000 1
```



DyCd2Cu9: theoretical XRD peak list (a wavelength of 1.5418 Å), based on the PBE geometry in Alexandria.

Top 10 peaks for 2θ = 15–90°, by intensity:
| d/Å | 2θ (°) | I_rel |
| --- | --- | --- |
| 2.142 | 42.19 | 100 |
| 2.532 | 35.45 | 41 |
| 2.184 | 41.34 | 34 |
| 2.708 | 33.09 | 31 |
| 2.483 | 36.18 | 25 |
| 1.374 | 68.27 | 22 |
| 1.266 | 75.01 | 20 |
| 2.008 | 45.16 | 17 |
| 1.996 | 45.44 | 14 |
| 2.158 | 41.87 | 12 |

Structural model:
```
data_DyCd2Cu9
_chemical_formula_sum 'Dy3 Cd6 Cu27'
_cell_length_a 5.0649
_cell_length_b 5.0649
_cell_length_c 24.0905
_cell_angle_alpha 90.00
_cell_angle_beta 90.00
_cell_angle_gamma 120.00
_symmetry_space_group_name_H-M 'R -3 m'
_symmetry_Int_Tables_number 166
_symmetry_space_group_name_Hall '-R 3 2"'
loop_
_atom_site_label
_atom_site_fract_x
_atom_site_fract_y
_atom_site_fract_z
_atom_site_occupancy
Dy1 0.0000 0.0000 0.0000 1
Cd1 0.0000 0.0000 0.1433 1
Cu1 0.0000 0.0000 0.3334 1
Cu2 0.0000 0.0000 0.5000 1
Cu3 0.0022 0.5011 0.9163 1
```



Dy2Cd5Cu: theoretical XRD peak list (a wavelength of 1.5418 Å), based on the PBE geometry in Alexandria.

Top 10 peaks for 2θ = 15–90°, by intensity:
| d/Å | 2θ (°) | I_rel |
| --- | --- | --- |
| 2.340 | 38.46 | 100 |
| 3.011 | 29.67 | 78 |
| 1.352 | 69.56 | 21 |
| 1.848 | 49.30 | 19 |
| 2.486 | 36.13 | 17 |
| 1.451 | 64.20 | 16 |
| 1.965 | 46.19 | 13 |
| 1.747 | 52.38 | 9 |
| 1.654 | 55.56 | 9 |
| 4.022 | 22.10 | 8 |

Structural model:
```
data_Dy2Cd5Cu
_chemical_formula_sum 'Dy6 Cd15 Cu3'
_cell_length_a 4.6830
_cell_length_b 4.6830
_cell_length_c 31.4596
_cell_angle_alpha 90.00
_cell_angle_beta 90.00
_cell_angle_gamma 120.00
_symmetry_space_group_name_H-M 'R -3 m'
_symmetry_Int_Tables_number 166
_symmetry_space_group_name_Hall '-R 3 2"'
loop_
_atom_site_label
_atom_site_fract_x
_atom_site_fract_y
_atom_site_fract_z
_atom_site_occupancy
Dy1 0.0000 0.0000 0.0872 1
Cd1 0.0000 0.0000 0.1978 1
Cd2 0.0000 0.0000 0.3557 1
Cd3 0.0000 0.0000 0.5000 1
Cu1 0.0000 0.0000 0.0000 1
```



DyCdCuNi: theoretical XRD peak list (a wavelength of 1.5418 Å), based on the PBE geometry in Alexandria.

Top 10 peaks for 2θ = 15–90°, by intensity:
| d/Å | 2θ (°) | I_rel |
| --- | --- | --- |
| 2.325 | 38.73 | 100 |
| 1.342 | 70.10 | 33 |
| 1.644 | 55.93 | 17 |
| 3.288 | 27.12 | 15 |
| 1.163 | 83.08 | 10 |
| 1.470 | 63.24 | 6 |
| 1.898 | 47.92 | 4 |
| 1.096 | 89.40 | 3 |
| 3.797 | 23.43 | 3 |
| 1.983 | 45.76 | 2 |

Structural model:
```
data_DyCdCuNi
_chemical_formula_sum 'Dy4 Cd4 Cu4 Ni4'
_cell_length_a 6.5763
_cell_length_b 6.5763
_cell_length_c 6.5763
_cell_angle_alpha 90.00
_cell_angle_beta 90.00
_cell_angle_gamma 90.00
_symmetry_space_group_name_H-M 'F -4 3 m'
_symmetry_Int_Tables_number 216
_symmetry_space_group_name_Hall 'F -4 2 3'
loop_
_atom_site_label
_atom_site_fract_x
_atom_site_fract_y
_atom_site_fract_z
_atom_site_occupancy
Dy1 0.0000 0.0000 0.0000 1
Cd1 0.0000 0.0000 0.5000 1
Cu1 0.2500 0.2500 0.7500 1
Ni1 0.2500 0.2500 0.2500 1
```



Dy2CdCu12Ni3: theoretical XRD peak list (a wavelength of 1.5418 Å), based on the PBE geometry in Alexandria.

Top 10 peaks for 2θ = 15–90°, by intensity:
| d/Å | 2θ (°) | I_rel |
| --- | --- | --- |
| 2.137 | 42.30 | 100 |
| 2.051 | 44.16 | 43 |
| 2.071 | 43.71 | 23 |
| 2.547 | 35.24 | 18 |
| 2.844 | 31.46 | 17 |
| 2.367 | 38.01 | 16 |
| 1.480 | 62.80 | 13 |
| 1.234 | 77.36 | 12 |
| 1.216 | 78.68 | 12 |
| 1.849 | 49.27 | 12 |

Structural model:
```
data_Dy2CdCu12Ni3
_chemical_formula_sum 'Dy6 Cd3 Cu36 Ni9'
_cell_length_a 8.5460
_cell_length_b 8.5460
_cell_length_c 12.3196
_cell_angle_alpha 90.00
_cell_angle_beta 90.00
_cell_angle_gamma 120.00
_symmetry_space_group_name_H-M 'R -3 m'
_symmetry_Int_Tables_number 166
_symmetry_space_group_name_Hall '-R 3 2"'
loop_
_atom_site_label
_atom_site_fract_x
_atom_site_fract_y
_atom_site_fract_z
_atom_site_occupancy
Dy1 0.0000 0.0000 0.2423 1
Cd1 0.0000 0.0000 0.5000 1
Cu1 0.0005 0.5003 0.2046 1
Cu2 0.0422 0.5211 0.6015 1
Ni1 0.0000 0.5000 0.0000 1
```



Dy4CdCuRu2: theoretical XRD peak list (a wavelength of 1.5418 Å), based on the PBE geometry in Alexandria.

Top 10 peaks for 2θ = 15–90°, by intensity:
| d/Å | 2θ (°) | I_rel |
| --- | --- | --- |
| 2.469 | 36.39 | 100 |
| 2.476 | 36.28 | 98 |
| 1.426 | 65.43 | 52 |
| 1.748 | 52.33 | 34 |
| 1.431 | 65.20 | 16 |
| 1.105 | 88.50 | 16 |
| 1.107 | 88.32 | 14 |
| 3.497 | 25.47 | 14 |
| 1.234 | 77.29 | 11 |
| 1.238 | 77.03 | 10 |

Structural model:
```
data_Dy4CdCuRu2
_chemical_formula_sum 'Dy12 Cd3 Cu3 Ru6'
_cell_length_a 4.9379
_cell_length_b 4.9379
_cell_length_c 24.2931
_cell_angle_alpha 90.00
_cell_angle_beta 90.00
_cell_angle_gamma 120.00
_symmetry_space_group_name_H-M 'R -3 m'
_symmetry_Int_Tables_number 166
_symmetry_space_group_name_Hall '-R 3 2"'
loop_
_atom_site_label
_atom_site_fract_x
_atom_site_fract_y
_atom_site_fract_z
_atom_site_occupancy
Dy1 0.0000 0.0000 0.1202 1
Dy2 0.0000 0.0000 0.3714 1
Cd1 0.0000 0.0000 0.5000 1
Cu1 0.0000 0.0000 0.0000 1
Ru1 0.0000 0.0000 0.2493 1
```



DyScCdCu: theoretical XRD peak list (a wavelength of 1.5418 Å), based on the PBE geometry in Alexandria.

Top 10 peaks for 2θ = 15–90°, by intensity:
| d/Å | 2θ (°) | I_rel |
| --- | --- | --- |
| 2.516 | 35.69 | 100 |
| 2.398 | 37.50 | 48 |
| 3.090 | 28.89 | 33 |
| 1.406 | 66.49 | 31 |
| 1.696 | 54.08 | 16 |
| 1.477 | 62.91 | 13 |
| 1.731 | 52.90 | 13 |
| 2.501 | 35.91 | 10 |
| 1.372 | 68.36 | 8 |
| 1.487 | 62.47 | 8 |

Structural model:
```
data_DyScCdCu
_chemical_formula_sum 'Dy1 Sc1 Cd1 Cu1'
_cell_length_a 3.3916
_cell_length_b 3.3916
_cell_length_c 7.5022
_cell_angle_alpha 90.00
_cell_angle_beta 90.00
_cell_angle_gamma 90.00
_symmetry_space_group_name_H-M 'P 4 m m'
_symmetry_Int_Tables_number 99
loop_
_symmetry_equiv_pos_as_xyz
'x,y,z'
'-y,x,z'
'-x,-y,z'
'y,-x,z'
'-x,y,z'
'y,x,z'
'x,-y,z'
'-y,-x,z'
loop_
_atom_site_label
_atom_site_fract_x
_atom_site_fract_y
_atom_site_fract_z
_atom_site_occupancy
Dy1 0.0000 0.0000 0.0000 1
Sc1 0.0000 0.0000 0.5606 1
Cd1 0.5000 0.5000 0.2986 1
Cu1 0.5000 0.5000 0.7539 1
```



ErCdCu10: theoretical XRD peak list (a wavelength of 1.5418 Å), based on the PBE geometry in Alexandria.

Top 10 peaks for 2θ = 15–90°, by intensity:
| d/Å | 2θ (°) | I_rel |
| --- | --- | --- |
| 2.122 | 42.60 | 100 |
| 2.962 | 30.17 | 42 |
| 2.152 | 41.99 | 34 |
| 2.041 | 44.38 | 29 |
| 2.484 | 36.15 | 29 |
| 1.353 | 69.45 | 21 |
| 1.481 | 62.74 | 20 |
| 1.242 | 76.72 | 15 |
| 1.194 | 80.46 | 14 |
| 1.577 | 58.52 | 14 |

Structural model:
```
data_ErCdCu10
_chemical_formula_sum 'Er1 Cd1 Cu10'
_cell_length_a 4.0828
_cell_length_b 4.9716
_cell_length_c 8.6020
_cell_angle_alpha 90.00
_cell_angle_beta 90.00
_cell_angle_gamma 90.00
_symmetry_space_group_name_H-M 'P m m m'
_symmetry_Int_Tables_number 47
loop_
_symmetry_equiv_pos_as_xyz
'x,y,z'
'-x,-y,-z'
'-x,-y,z'
'x,y,-z'
'x,-y,-z'
'-x,y,z'
'-x,y,-z'
'x,-y,z'
loop_
_atom_site_label
_atom_site_fract_x
_atom_site_fract_y
_atom_site_fract_z
_atom_site_occupancy
Er1 0.0000 0.0000 0.0000 1
Cd1 0.0000 0.5000 0.5000 1
Cu1 0.0000 0.0000 0.3412 1
Cu2 0.0000 0.5000 0.1763 1
Cu3 0.5000 0.0000 0.5000 1
Cu4 0.5000 0.2464 0.2478 1
Cu5 0.5000 0.5000 0.0000 1
```